Structure and computed powder diffraction line list of RbTl2Mo2O7 (a cell relaxed with GGA+U; a wavelength of 1.5418 Å).
Peak positions follow from Bragg's law for the DFT cell and can differ from measured ones.

Peak list (10 most intense, 2θ = 10–90°, low angle first)
h k l	two_theta	I/Imax
0 0 3	10.42	23.2
1 0 4	21.44	20.2
0 1 5	23.90	100.0
1 1 0	28.32	75.9
1 1 3	30.25	17.3
2 0 5	37.38	25.5
1 0 10	39.03	14.8
1 1 9	42.96	27.5
1 2 5	47.55	27.8
3 0 0	50.13	19.6

Atomic structure:
```
data_RbTl2Mo2O7
_chemical_formula_sum 'Rb3 Tl6 Mo6 O21'
_space_group_name_H-M_alt 'R 3 2'
_space_group_IT_number 155
_space_group_name_Hall 'R 3 2"'
_cell_length_a 6.3036
_cell_length_b 6.3036
_cell_length_c 25.4623
_cell_angle_alpha 90.00
_cell_angle_beta 90.00
_cell_angle_gamma 120.00
loop_
_atom_site_label
_atom_site_fract_x
_atom_site_fract_y
_atom_site_fract_z
Rb1 0.0000 0.0000 0.0000
Tl1 0.0000 0.0000 0.2101
Mo1 0.0000 0.0000 0.4247
O1 0.0000 0.0000 0.5000
O2 0.0349 0.2886 0.4033
```